Simulated powder X-ray diffraction pattern
Compound: NbCr3Ag2S8
Radiation: Cu Kα X-rays
Structure: the GGA-PBE geometry in the Materials Project
No peak broadening, texture or thermal motion is included.

Most intense lines, 2θ from 10° to 90°, sorted by position:
2θ = 27.6°, rel. 100, hkl 0 3 2
2θ = 30.3°, rel. 35, hkl 1 2 0
2θ = 34.1°, rel. 73, hkl 1 1 3
2θ = 36.0°, rel. 46, hkl 1 3 1
2θ = 41.2°, rel. 36, hkl 1 3 3
2θ = 50.5°, rel. 43, hkl 1 4 4

Crystal structure
```
28
Lattice="3.4751 0.0000 0.0000 0.0000 11.1908 0.0000 0.0000 0.0000 12.9493" Properties=species:S:1:pos:R:3 pbc="T T T"
Nb 0.0000 2.1886 0.0000
Nb 1.7376 9.0022 6.4747
Cr 0.0000 1.9694 6.7806
Cr 0.0000 7.3698 2.7365
Cr 0.0000 7.7330 9.5444
Cr 1.7376 3.4578 3.0697
Cr 1.7376 3.8210 9.2112
Cr 1.7376 9.2214 0.3059
Ag 0.0000 0.0956 10.1199
Ag 0.0000 5.7778 12.1984
Ag 1.7376 5.4130 5.7238
Ag 1.7376 11.0952 3.6452
S 0.0000 1.8521 2.5122
S 0.0000 3.1514 10.7676
S 0.0000 4.1504 7.6651
S 0.0000 5.0706 3.5509
S 0.0000 7.3286 7.1818
S 0.0000 8.6853 11.7654
S 0.0000 9.6233 1.9254
S 0.0000 10.7525 6.0972
S 1.7376 0.4383 12.5719
S 1.7376 1.5675 8.4001
S 1.7376 2.5055 5.2907
S 1.7376 3.8622 0.7071
S 1.7376 6.1202 10.0255
S 1.7376 7.0404 1.1905
S 1.7376 8.0394 4.2929
S 1.7376 9.3387 8.9869
```